1.
Theoretical powder diffractogram
Compound: Pu3TeI3
Radiation: CuKα
Structure: a crystal structure in Alexandria, relaxed with GGA-PBE
Neutral-atom scattering factors, no anomalous dispersion.

Atomic structure:
a b c (Å): 10.784 10.787 10.876
angles (deg): 109.42 109.39 109.16
Space group P1 (No. 1)
Symmetry-distinct sites (fractional):
Pu (0.000, 0.000, 0.000)
Pu (0.000, 0.248, 0.768)
Pu (0.251, 0.004, 0.755)
Pu (0.261, 0.253, 0.512)
Pu (0.263, 0.496, 0.263)
Pu (0.497, 0.484, 0.000)
Pu (0.498, 0.745, 0.743)
Pu (0.499, 0.253, 0.255)
Pu (0.499, 0.992, 0.514)
Pu (0.745, 0.491, 0.756)
Pu (0.746, 0.244, 0.998)
Pu (0.748, 0.751, 0.513)
Te (0.251, 0.247, 0.006)
Te (0.500, 0.244, 0.754)
Te (0.505, 0.497, 0.509)
Te (0.750, 0.998, 0.758)
I (0.007, 0.740, 0.756)
I (0.010, 0.513, 0.019)
I (0.231, 0.736, 0.496)
I (0.245, 0.503, 0.758)
I (0.246, 0.986, 0.250)
I (0.498, 0.989, 0.008)
I (0.504, 0.754, 0.251)
I (0.754, 0.752, 0.014)
I (0.755, 0.244, 0.502)
I (0.764, 0.504, 0.262)
I (0.993, 0.995, 0.495)
I (0.996, 0.247, 0.262)

Top 8 peaks for 2θ = 5–70°, by intensity:
- hkl 2 2 -2, 28.54°, rel. 100
- hkl 4 0 0, 40.81°, rel. 51
- hkl 0 1 -1, 9.98°, rel. 18
- hkl 2 6 -2, 66.88°, rel. 17
- hkl 2 2 2, 50.29°, rel. 14
- hkl 2 -6 2, 50.79°, rel. 13
- hkl 0 0 4, 40.49°, rel. 13
- hkl 4 4 -4, 59.07°, rel. 13

=====

2.
Theoretical powder diffractogram
Compound: Pu6Te5I
Radiation: CuKα
Structure: a crystal structure in Alexandria, relaxed with GGA-PBE
Neutral-atom scattering factors, no anomalous dispersion.

Atomic structure:
a b c (Å): 7.689 13.334 7.695
angles (deg): 90.00 109.50 90.00
Space group C2/m (No. 12)
Symmetry-distinct sites (fractional):
Pu (0.245, 0.000, 0.252)
Pu (0.246, 0.169, 0.746)
Te (0.000, 0.000, 0.500)
Te (0.000, 0.167, 0.000)
Te (0.000, 0.336, 0.500)
I (0.000, 0.500, 0.000)

Top 8 peaks for 2θ = 5–70°, by intensity:
- hkl 1 3 1, 28.42°, rel. 100
- hkl 2 0 2, 40.62°, rel. 77
- hkl 3 3 -5, 66.57°, rel. 36
- hkl 0 0 4, 50.32°, rel. 28
- hkl 0 0 2, 24.54°, rel. 17
- hkl 4 0 -4, 58.80°, rel. 13
- hkl 2 0 -4, 48.04°, rel. 9
- hkl 2 6 -4, 64.66°, rel. 3

=====

3.
Theoretical powder diffractogram
Compound: Pu2UI8
Radiation: CuKα
Structure: a crystal structure in Alexandria, relaxed with GGA-PBE
Neutral-atom scattering factors, no anomalous dispersion.

Atomic structure:
a b c (Å): 9.8596 9.8596 6.4188
angles (deg): 90.00 90.00 120.00
Space group P-3m1 (No. 164)
Symmetry-distinct sites (fractional):
Pu (0.3333, 0.6667, 0.2180)
U (0.0000, 0.0000, 0.0000)
I (0.1530, 0.3060, 0.2571)
I (0.3333, 0.6667, 0.7271)

Top 8 peaks for 2θ = 5–70°, by intensity:
- hkl 1 1 0, 17.99°, rel. 100
- hkl 2 2 0, 36.45°, rel. 93
- hkl 2 0 2, 34.98°, rel. 73
- hkl 0 1 1, 17.28°, rel. 70
- hkl 1 2 1, 31.02°, rel. 57
- hkl 0 2 1, 25.05°, rel. 48
- hkl 2 2 2, 46.45°, rel. 45
- hkl 1 2 2, 39.60°, rel. 43

=====

4.
Theoretical powder diffractogram
Compound: RbI4
Radiation: CuKα
Structure: a crystal structure in Alexandria, relaxed with GGA-PBE
Neutral-atom scattering factors, no anomalous dispersion.

Atomic structure:
a b c (Å): 6.130 9.535 10.340
angles (deg): 76.41 89.93 79.16
Space group P1 (No. 1)
Symmetry-distinct sites (fractional):
Rb (0.000, 0.000, 0.000)
Rb (0.498, 0.001, 0.500)
I (0.069, 0.760, 0.550)
I (0.165, 0.253, 0.198)
I (0.189, 0.245, 0.700)
I (0.337, 0.711, 0.312)
I (0.570, 0.760, 0.051)
I (0.668, 0.244, 0.195)
I (0.687, 0.253, 0.693)
I (0.837, 0.711, 0.812)

Top 8 peaks for 2θ = 5–70°, by intensity:
- hkl 2 1 2, 34.01°, rel. 100
- hkl 0 2 0, 19.52°, rel. 85
- hkl 1 0 1, 17.50°, rel. 54
- hkl 0 1 -2, 22.18°, rel. 53
- hkl 0 2 2, 23.04°, rel. 49
- hkl 0 1 4, 34.74°, rel. 46
- hkl 1 2 1, 22.28°, rel. 41
- hkl 1 -1 1, 22.40°, rel. 41

=====

5.
Theoretical powder diffractogram
Compound: Rb2I3
Radiation: CuKα
Structure: a crystal structure in Alexandria, relaxed with GGA-PBE
Neutral-atom scattering factors, no anomalous dispersion.

Atomic structure:
a b c (Å): 6.900 6.900 6.900
angles (deg): 90.00 90.00 90.00
Space group Pm-3m (No. 221)
Symmetry-distinct sites (fractional):
Rb (0.000, 0.000, 0.000)
Rb (0.500, 0.500, 0.500)
I (0.000, 0.000, 0.500)

Top 8 peaks for 2θ = 5–70°, by intensity:
- hkl 2 0 0, 25.82°, rel. 100
- hkl 1 1 1, 22.32°, rel. 90
- hkl 2 2 0, 36.84°, rel. 77
- hkl 3 1 1, 43.50°, rel. 45
- hkl 4 2 0, 59.96°, rel. 37
- hkl 2 2 2, 45.54°, rel. 28
- hkl 4 2 2, 66.37°, rel. 27
- hkl 1 0 0, 12.83°, rel. 27

=====

6.
Theoretical powder diffractogram
Compound: Rb5I
Radiation: CuKα
Structure: a crystal structure in Alexandria, relaxed with GGA-PBE
Neutral-atom scattering factors, no anomalous dispersion.

Atomic structure:
a b c (Å): 5.103 23.700 7.802
angles (deg): 90.00 90.00 90.00
Space group Cmmm (No. 65)
Symmetry-distinct sites (fractional):
Rb (0.000, 0.000, 0.000)
Rb (0.000, 0.118, 0.500)
Rb (0.000, 0.327, 0.000)
I (0.000, 0.500, 0.500)

Top 8 peaks for 2θ = 5–70°, by intensity:
- hkl 1 3 1, 23.68°, rel. 100
- hkl 0 0 2, 22.80°, rel. 36
- hkl 1 3 3, 40.57°, rel. 24
- hkl 0 2 0, 7.46°, rel. 23
- hkl 0 6 2, 32.29°, rel. 21
- hkl 0 2 1, 13.59°, rel. 17
- hkl 1 5 1, 28.13°, rel. 16
- hkl 1 5 0, 25.65°, rel. 15

=====

7.
Theoretical powder diffractogram
Compound: Rb3I2
Radiation: CuKα
Structure: a crystal structure in Alexandria, relaxed with GGA-PBE
Neutral-atom scattering factors, no anomalous dispersion.

Atomic structure:
a b c (Å): 9.0441 9.0441 26.9446
angles (deg): 90.00 90.00 120.00
Space group R-3c (No. 167, hexagonal axes)
Symmetry-distinct sites (fractional):
Rb (0.0000, 0.3267, 0.2500)
I (0.0000, 0.0000, 0.1629)

Top 8 peaks for 2θ = 5–70°, by intensity:
- hkl 1 1 6, 28.00°, rel. 100
- hkl 1 1 3, 22.01°, rel. 65
- hkl 3 0 0, 34.35°, rel. 53
- hkl 0 1 2, 13.07°, rel. 31
- hkl 3 0 12, 53.85°, rel. 27
- hkl 2 2 6, 44.88°, rel. 27
- hkl 4 1 6, 57.71°, rel. 25
- hkl 1 0 4, 17.36°, rel. 22

=====

8.
Theoretical powder diffractogram
Compound: Rb2VReI6
Radiation: CuKα
Structure: a crystal structure in Alexandria, relaxed with GGA-PBE
Neutral-atom scattering factors, no anomalous dispersion.

Atomic structure:
a b c (Å): 8.085 8.085 11.338
angles (deg): 90.00 90.00 90.00
Space group I4/mmm (No. 139)
Symmetry-distinct sites (fractional):
Rb (0.000, 0.500, 0.250)
V (0.000, 0.000, 0.000)
Re (0.000, 0.000, 0.500)
I (0.000, 0.000, 0.250)
I (0.250, 0.250, 0.000)

Top 8 peaks for 2θ = 5–70°, by intensity:
- hkl 2 0 2, 27.09°, rel. 100
- hkl 2 2 0, 31.29°, rel. 96
- hkl 2 2 4, 45.04°, rel. 69
- hkl 0 0 4, 31.57°, rel. 47
- hkl 1 1 0, 15.50°, rel. 38
- hkl 4 0 4, 55.87°, rel. 36
- hkl 4 0 0, 44.84°, rel. 35
- hkl 4 2 2, 53.18°, rel. 30